Starting from a DFT-relaxed cell (PBE, Alexandria), the powder diffraction line list of Sm4Sb8Pd3 was computed for Cu Kα, 1.54184 Å.

Main lines, in order of rising 2θ (10° ≤ 2θ ≤ 80°):
hkl 1 0 4, 27.2 deg, I = 12
hkl 0 0 6, 27.8 deg, I = 8
hkl 1 1 2, 29.7 deg, I = 12
hkl 1 1 4, 33.9 deg, I = 100
hkl 1 0 6, 34.4 deg, I = 20
hkl 2 0 0, 40.3 deg, I = 45
hkl 1 0 10, 51.7 deg, I = 13
hkl 2 1 6, 54.0 deg, I = 11
hkl 2 0 8, 56.1 deg, I = 10
hkl 2 2 0, 58.3 deg, I = 15
hkl 2 1 10, 67.5 deg, I = 12
hkl 3 1 4, 69.2 deg, I = 25

Atomic structure:
Cell lengths 4.4764, 4.4764, 19.2395 Å; angles 90.00, 90.00, 90.00 degrees
Fractional coordinates of all 15 atoms:
1 Sm 0.0000 0.5000 0.1173
2 Sm 0.0000 0.5000 0.6252
3 Sm 0.5000 0.0000 0.3748
4 Sm 0.5000 0.0000 0.8827
5 Sb 0.0000 0.0000 0.2469
6 Sb 0.0000 0.0000 0.7531
7 Sb 0.0000 0.5000 0.4199
8 Sb 0.0000 0.5000 0.9271
9 Sb 0.5000 0.0000 0.0729
10 Sb 0.5000 0.0000 0.5801
11 Sb 0.5000 0.5000 0.2472
12 Sb 0.5000 0.5000 0.7528
13 Pd 0.0000 0.0000 0.0000
14 Pd 0.0000 0.0000 0.5000
15 Pd 0.5000 0.5000 0.5000